Entry 1:
Diffraction record for Hf8Cu2C3N3. The powder XRD pattern is computed, not measured: it uses DFT lattice parameters and positions (GGA-PBE) and Cu Kα (λ = 1.5418 Å).
Intensities are scaled so that the largest is 100.

Principal peaks in the range 2θ from 5° to 70°, by angle:
2θ (°)	I_rel	hkl
29.8	18	0 0 8
32.1	16	1 0 1
32.7	44	0 1 2
33.8	21	1 0 3
35.3	34	1 0 4
37.1	67	0 1 5
37.5	30	0 0 10
39.2	100	1 0 6
56.5	25	0 1 12
56.8	46	1 1 0

Cell lengths 3.2437, 3.2437, 23.9909 Å; angles 90.00, 90.00, 120.00 degrees
Space group P-3m1 (No. 164)
Symmetry-distinct sites (fractional):
Hf  0.0000  0.0000  0.1619 (multiplicity 2)
Hf  0.0000  0.0000  0.3355 (multiplicity 2)
Hf  0.3333  0.6667  0.5546 (multiplicity 2)
Hf  0.3333  0.6667  0.9444 (multiplicity 2)
Cu  0.3333  0.6667  0.7528 (multiplicity 2)
C  0.0000  0.0000  0.5000 (multiplicity 1)
C  0.3333  0.6667  0.3858 (multiplicity 2)
N  0.0000  0.0000  0.0000 (multiplicity 1)
N  0.3333  0.6667  0.1080 (multiplicity 2)

***

Entry 2:
Diffraction record for Ta2AlO4. The powder XRD pattern is computed, not measured: it uses DFT lattice parameters and positions (GGA-PBE) and Cu Kα (λ = 1.5418 Å).
Intensities are scaled so that the largest is 100.

Principal peaks in the range 2θ from 5° to 70°, by angle:
2θ (°)	I_rel	hkl
18.0	100	1 1 1
29.7	2	2 2 0
35.0	100	3 1 1
36.6	63	2 2 2
42.5	57	4 0 0
46.5	32	3 3 1
52.7	1	4 2 2
56.1	33	3 3 3
61.6	47	4 4 0
64.8	21	5 3 1

Cell lengths 8.513, 8.513, 8.513 Å; angles 90.00, 90.00, 90.00 degrees
Space group Fd-3m (No. 227, origin choice 2)
Symmetry-distinct sites (fractional):
Ta  0.000  0.000  0.000 (multiplicity 16)
Al  0.125  0.125  0.625 (multiplicity 8)
O  0.008  0.008  0.742 (multiplicity 32)

***

Entry 3:
Diffraction record for Ba2BeCd. The powder XRD pattern is computed, not measured: it uses DFT lattice parameters and positions (GGA-PBE) and Cu Kα (λ = 1.5418 Å).
Intensities are scaled so that the largest is 100.

Principal peaks in the range 2θ from 5° to 70°, by angle:
2θ (°)	I_rel	hkl
19.7	24	1 1 1
22.8	10	2 0 0
32.4	100	2 2 0
38.2	14	3 1 1
46.5	18	4 0 0
50.9	6	3 3 1
52.4	4	4 2 0
57.8	37	4 2 2
61.7	5	5 1 1
67.8	11	4 4 0

Cell lengths 7.815, 7.815, 7.815 Å; angles 90.00, 90.00, 90.00 degrees
Space group F-43m (No. 216)
Symmetry-distinct sites (fractional):
Ba  0.000  0.000  0.000 (multiplicity 4)
Ba  0.250  0.250  0.250 (multiplicity 4)
Be  0.250  0.250  0.750 (multiplicity 4)
Cd  0.000  0.000  0.500 (multiplicity 4)